1.
Structure and calculated PXRD pattern of Pa3Zn7Cu2 (DFT lattice parameters and positions (GGA-PBE); Cu Kα X-rays).
Lines closer than 0.1° are merged.

Principal peaks in the range 10 to 90 degrees two-theta, by angle:
| h k l | 2θ (°) | d [Å] | I (rel.) |
| --- | --- | --- | --- |
| 1 0 1 | 19.82 | 4.479 | 15 |
| 0 0 6 | 20.29 | 4.376 | 15 |
| 1 0 7 | 30.91 | 2.893 | 43 |
| 0 1 8 | 33.68 | 2.661 | 18 |
| 1 1 0 | 34.16 | 2.625 | 47 |
| 0 2 1 | 39.81 | 2.265 | 29 |
| 1 1 6 | 40.06 | 2.251 | 100 |
| 0 0 12 | 41.26 | 2.188 | 17 |
| 3 0 6 | 65.15 | 1.432 | 24 |
| 2 2 0 | 71.95 | 1.312 | 16 |

Atomic structure:
Unit cell a=5.2494 b=5.2494 c=26.2586 alpha=90.00 beta=90.00 gamma=120.00
Space group R-3m (No. 166, hexagonal axes)
Inequivalent atoms, fractional coordinates:
Pa1 0.0000 0.0000 0.0000
Pa2 0.0000 0.0000 0.1512
Zn1 0.0000 0.0000 0.5000
Zn2 0.0041 0.5020 0.9214
Cu1 0.0000 0.0000 0.3352

***

2.
Structure and calculated PXRD pattern of PrSmAgPd (DFT lattice parameters and positions (GGA-PBE); Cu Kα X-rays).
Lines closer than 0.1° are merged.

Principal peaks in the range 10 to 90 degrees two-theta, by angle:
| h k l | 2θ (°) | d [Å] | I (rel.) |
| --- | --- | --- | --- |
| 1 1 1 | 30.62 | 2.919 | 100 |
| 0 0 4 | 32.47 | 2.758 | 27 |
| 0 1 3 | 33.49 | 2.675 | 25 |
| 2 0 0 | 37.46 | 2.401 | 35 |
| 1 0 4 | 37.61 | 2.391 | 23 |
| 1 1 3 | 38.52 | 2.337 | 65 |
| 0 2 0 | 46.57 | 1.950 | 19 |
| 2 2 0 | 61.24 | 1.514 | 16 |
| 2 2 4 | 71.07 | 1.326 | 16 |
| 2 1 7 | 76.32 | 1.248 | 22 |

Atomic structure:
Unit cell a=4.801 b=3.900 c=11.031 alpha=90.00 beta=90.00 gamma=90.00
Space group Amm2 (No. 38)
Inequivalent atoms, fractional coordinates:
Pr1 0.000 0.000 0.000
Sm1 0.500 0.000 0.278
Ag1 0.500 0.000 0.561
Pd1 0.000 0.000 0.723

***

3.
Structure and calculated PXRD pattern of Ba8Pd5Rh (DFT lattice parameters and positions (GGA-PBE); Cu Kα X-rays).
Lines closer than 0.1° are merged.

Principal peaks in the range 10 to 90 degrees two-theta, by angle:
| h k l | 2θ (°) | d [Å] | I (rel.) |
| --- | --- | --- | --- |
| 1 0 3 | 28.52 | 3.130 | 51 |
| 3 1 0 | 28.70 | 3.110 | 100 |
| 1 2 3 | 34.00 | 2.637 | 57 |
| 2 3 1 | 34.10 | 2.629 | 26 |
| 3 3 2 | 43.05 | 2.101 | 16 |
| 4 2 2 | 45.12 | 2.009 | 14 |
| 4 1 3 | 46.96 | 1.935 | 27 |
| 4 3 1 | 47.12 | 1.929 | 15 |
| 6 1 1 | 57.76 | 1.596 | 24 |
| 7 1 2 | 70.32 | 1.339 | 17 |

Atomic structure:
Unit cell a=9.832 b=9.832 c=9.904 alpha=90.00 beta=90.00 gamma=90.00
Space group I-4 (No. 82)
Inequivalent atoms, fractional coordinates:
Ba1 0.060 0.307 0.439
Ba2 0.064 0.185 0.809
Pd1 0.000 0.500 0.750
Pd2 0.123 0.248 0.124
Rh1 0.000 0.000 0.500

***

4.
Structure and calculated PXRD pattern of MgScBO4 (DFT lattice parameters and positions (GGA-PBE); Cu Kα X-rays).
Lines closer than 0.1° are merged.

Principal peaks in the range 10 to 90 degrees two-theta, by angle:
| h k l | 2θ (°) | d [Å] | I (rel.) |
| --- | --- | --- | --- |
| 0 2 1 | 20.85 | 4.260 | 30 |
| 0 3 1 | 29.66 | 3.012 | 21 |
| 1 0 2 | 33.34 | 2.687 | 100 |
| 0 3 2 | 33.93 | 2.642 | 57 |
| 0 4 2 | 42.44 | 2.130 | 22 |
| 1 2 3 | 44.15 | 2.051 | 32 |
| 1 3 3 | 49.31 | 1.848 | 21 |
| 1 3 4 | 55.92 | 1.644 | 30 |
| 2 0 0 | 56.57 | 1.627 | 24 |
| 1 2 5 | 59.46 | 1.554 | 25 |

Atomic structure:
Unit cell a=3.254 b=9.525 c=9.529 alpha=90.00 beta=90.00 gamma=90.00
Space group Pmc2_1 (No. 26)
Inequivalent atoms, fractional coordinates:
Mg1 0.000 0.060 0.000
Mg2 0.000 0.316 0.523
Sc1 0.500 0.166 0.294
Sc2 0.500 0.446 0.803
B1 0.000 0.371 0.074
B2 0.500 0.125 0.728
O1 0.000 0.133 0.413
O2 0.000 0.241 0.136
O3 0.000 0.382 0.928
O4 0.000 0.497 0.152
O5 0.500 0.003 0.644
O6 0.500 0.107 0.871
O7 0.500 0.258 0.666
O8 0.500 0.368 0.389

***

5.
Structure and calculated PXRD pattern of CaPrBN2 (DFT lattice parameters and positions (GGA-PBE); Cu Kα X-rays).
Lines closer than 0.1° are merged.

Principal peaks in the range 10 to 90 degrees two-theta, by angle:
| h k l | 2θ (°) | d [Å] | I (rel.) |
| --- | --- | --- | --- |
| 0 0 1 | 15.50 | 5.716 | 39 |
| 0 1 0 | 22.19 | 4.007 | 57 |
| 1 0 0 | 24.12 | 3.689 | 58 |
| 0 1 1 | 27.18 | 3.281 | 100 |
| 0 0 2 | 31.30 | 2.858 | 37 |
| 1 1 -1 | 33.79 | 2.653 | 67 |
| 1 0 -2 | 34.42 | 2.605 | 40 |
| 1 1 1 | 39.34 | 2.290 | 62 |
| 0 2 0 | 45.27 | 2.003 | 21 |
| 2 1 -1 | 53.26 | 1.720 | 61 |

Atomic structure:
Unit cell a=3.817 b=4.007 c=5.913 alpha=90.00 beta=104.84 gamma=90.00
Space group P2/m (No. 10)
Inequivalent atoms, fractional coordinates:
Ca1 0.000 0.000 0.000
Pr1 0.000 0.500 0.500
B1 0.500 0.500 0.000
N1 0.379 0.500 0.197

***

6.
Structure and calculated PXRD pattern of Al4Fe2Si3 (DFT lattice parameters and positions (GGA-PBE); Cu Kα X-rays).
Lines closer than 0.1° are merged.

Principal peaks in the range 10 to 90 degrees two-theta, by angle:
| h k l | 2θ (°) | d [Å] | I (rel.) |
| --- | --- | --- | --- |
| 0 2 0 | 13.55 | 6.537 | 60 |
| 0 2 1 | 15.70 | 5.644 | 59 |
| 1 1 0 | 24.92 | 3.573 | 61 |
| 1 1 3 | 34.77 | 2.580 | 42 |
| 0 2 4 | 34.89 | 2.572 | 30 |
| 1 1 4 | 40.98 | 2.203 | 100 |
| 0 6 1 | 42.26 | 2.139 | 34 |
| 1 5 1 | 43.07 | 2.100 | 49 |
| 1 5 2 | 45.41 | 1.997 | 53 |
| 2 0 0 | 49.08 | 1.856 | 86 |

Atomic structure:
Unit cell a=3.714 b=13.073 c=11.190 alpha=90.00 beta=90.00 gamma=90.00
Space group Cmcm (No. 63)
Inequivalent atoms, fractional coordinates:
Al1 0.000 0.089 0.250
Al2 0.000 0.183 0.560
Al3 0.000 0.282 0.250
Fe1 0.000 0.452 0.126
Si1 0.000 0.090 0.750
Si2 0.000 0.379 0.570

***

7.
Structure and calculated PXRD pattern of KLiNbCl6 (DFT lattice parameters and positions (GGA-PBE); Cu Kα X-rays).
Lines closer than 0.1° are merged.

Principal peaks in the range 10 to 90 degrees two-theta, by angle:
| h k l | 2θ (°) | d [Å] | I (rel.) |
| --- | --- | --- | --- |
| 0 0 2 | 12.79 | 6.921 | 62 |
| 1 0 1 | 16.78 | 5.282 | 100 |
| 1 0 2 | 20.15 | 4.407 | 84 |
| 1 0 3 | 24.80 | 3.590 | 27 |
| 1 1 2 | 30.00 | 2.978 | 88 |
| 1 1 4 | 37.67 | 2.388 | 94 |
| 2 1 2 | 43.91 | 2.062 | 24 |
| 3 0 0 | 47.74 | 1.905 | 37 |
| 2 -1 6 | 48.13 | 1.891 | 23 |
| 3 -1 6 | 58.58 | 1.576 | 16 |

Atomic structure:
Unit cell a=6.5991 b=6.5991 c=13.8414 alpha=90.00 beta=90.00 gamma=120.00
Space group P-31c (No. 163)
Inequivalent atoms, fractional coordinates:
K1 0.0000 0.0000 0.0000
Li1 0.3333 0.6667 0.2500
Nb1 0.3333 0.6667 0.7500
Cl1 0.0170 0.3799 0.6483

***

8.
Structure and calculated PXRD pattern of LaPrTh3 (DFT lattice parameters and positions (GGA-PBE); Cu Kα X-rays).
Lines closer than 0.1° are merged.

Principal peaks in the range 10 to 90 degrees two-theta, by angle:
| h k l | 2θ (°) | d [Å] | I (rel.) |
| --- | --- | --- | --- |
| 0 2 0 | 14.76 | 6.001 | 54 |
| 2 1 1 | 24.21 | 3.677 | 36 |
| 0 4 0 | 29.77 | 3.001 | 64 |
| 3 0 1 | 30.56 | 2.926 | 52 |
| 0 2 2 | 33.10 | 2.706 | 92 |
| 3 2 1 | 34.09 | 2.630 | 100 |
| 3 4 1 | 43.19 | 2.095 | 42 |
| 0 6 2 | 54.99 | 1.670 | 28 |
| 3 6 1 | 55.66 | 1.651 | 25 |
| 0 8 0 | 61.91 | 1.499 | 30 |

Atomic structure:
Unit cell a=10.021 b=12.003 c=6.064 alpha=90.00 beta=90.00 gamma=90.00
Space group Imma (No. 74)
Inequivalent atoms, fractional coordinates:
La1 0.250 0.250 0.250
Pr1 0.000 0.250 0.705
Th1 0.000 0.000 0.000
Th2 0.170 0.000 0.500